Entry 1:
For TmAgSnS3, a crystal structure in OQMD, relaxed with GGA-PBE gives the simulated powder XRD pattern in this record (λ = 1.5418 Å (Cu Kα)).

```
data_TmAgSnS3
_cell_length_a 11.8964
_cell_length_b 3.8894
_cell_length_c 12.4672
_cell_angle_alpha 90.00
_cell_angle_beta 90.00
_cell_angle_gamma 90.00
_symmetry_space_group_name_H-M 'P n m a'
_symmetry_Int_Tables_number 62
loop_
_symmetry_equiv_pos_as_xyz
'x,y,z'
'-x,-y,-z'
'-x+1/2,-y,z+1/2'
'x+1/2,y,-z+1/2'
'x+1/2,-y+1/2,-z+1/2'
'-x+1/2,y+1/2,z+1/2'
'-x,y+1/2,-z'
'x,-y+1/2,z'
loop_
_atom_site_label
_atom_site_fract_x
_atom_site_fract_y
_atom_site_fract_z
_atom_site_occupancy
Tm1 0.0156 0.2500 0.1479 1
Ag1 0.1991 0.7500 0.3873 1
Sn1 0.1676 0.2500 0.5816 1
S1 0.0146 0.7500 0.3019 1
S2 0.1051 0.2500 0.9481 1
S3 0.2437 0.2500 0.1982 1
```

Top 10 peaks for 10° ≤ 2θ ≤ 90°, in order of rising 2θ:
2θ = 23.54°, 3.779 Å, I = 74, hkl 3 0 1
2θ = 28.06°, 3.180 Å, I = 100, hkl 1 1 2
2θ = 28.34°, 3.150 Å, I = 37, hkl 2 1 1
2θ = 28.64°, 3.117 Å, I = 29, hkl 0 0 4
2θ = 31.50°, 2.840 Å, I = 21, hkl 0 1 3
2θ = 35.01°, 2.563 Å, I = 45, hkl 2 1 3
2θ = 43.66°, 2.073 Å, I = 27, hkl 3 1 4
2θ = 45.81°, 1.981 Å, I = 20, hkl 6 0 0
2θ = 46.71°, 1.945 Å, I = 24, hkl 0 2 0
2θ = 47.09°, 1.930 Å, I = 46, hkl 5 1 2

=====

Entry 2:
For AlGa3Cu2, a crystal structure in OQMD, relaxed with GGA-PBE gives the simulated powder XRD pattern in this record (λ = 1.5418 Å (Cu Kα)).

```
data_AlGa3Cu2
_cell_length_a 4.1072
_cell_length_b 4.1072
_cell_length_c 5.8131
_cell_angle_alpha 90.00
_cell_angle_beta 90.00
_cell_angle_gamma 90.00
_symmetry_space_group_name_H-M 'P -4 m 2'
_symmetry_Int_Tables_number 115
loop_
_symmetry_equiv_pos_as_xyz
'x,y,z'
'y,-x,-z'
'-x,-y,z'
'-y,x,-z'
'-x,y,z'
'-y,-x,-z'
'x,-y,z'
'y,x,-z'
loop_
_atom_site_label
_atom_site_fract_x
_atom_site_fract_y
_atom_site_fract_z
_atom_site_occupancy
Al1 0.0000 0.0000 0.0000 1
Ga1 0.0000 0.0000 0.5000 1
Ga2 0.5000 0.5000 0.0000 1
Ga3 0.5000 0.5000 0.5000 1
Cu1 0.0000 0.5000 0.2496 1
```

Top 10 peaks for 10° ≤ 2θ ≤ 90°, in order of rising 2θ:
2θ = 15.24°, 5.813 Å, I = 3, hkl 0 0 1
2θ = 26.57°, 3.354 Å, I = 38, hkl 1 0 1
2θ = 30.78°, 2.905 Å, I = 11, hkl 1 1 0
2θ = 44.09°, 2.054 Å, I = 100, hkl 2 0 0
2θ = 52.22°, 1.752 Å, I = 17, hkl 2 1 1
2θ = 64.11°, 1.452 Å, I = 15, hkl 2 2 0
2θ = 70.67°, 1.333 Å, I = 6, hkl 3 0 1
2θ = 72.80°, 1.299 Å, I = 4, hkl 3 1 0
2θ = 81.09°, 1.186 Å, I = 31, hkl 3 1 2
2θ = 87.18°, 1.118 Å, I = 5, hkl 3 2 1